Na3VS3O: theoretical XRD peak list (Cu Kα), based on a crystal structure in the Materials Project, relaxed with PBE+U.
Intensities are scaled so that the largest is 1000.

Top 10 peaks for 2θ = 10–90°, low angle first:
2θ/deg	intensity
14.7	360
18.9	704
28.5	536
29.7	613
29.9	1000
36.9	331
41.7	442
42.7	494
47.1	685
56.7	405

Crystal structure
```
Na3VS3O
1.0
5.9857 0.0000 0.0000
0.0000 9.7495 0.0000
0.0000 0.0000 12.0124
Na V S O
12 4 12 4
direct
0.2389 0.2500 0.1317 Na
0.2497 0.0446 0.8701 Na
0.2497 0.4554 0.8701 Na
0.2503 0.5446 0.3701 Na
0.2503 0.9554 0.3701 Na
0.2611 0.7500 0.6317 Na
0.7389 0.2500 0.3683 Na
0.7497 0.0446 0.6299 Na
0.7497 0.4554 0.6299 Na
0.7503 0.5446 0.1299 Na
0.7503 0.9554 0.1299 Na
0.7611 0.7500 0.8683 Na
0.1570 0.2500 0.5469 V
0.3430 0.7500 0.0469 V
0.6570 0.2500 0.9531 V
0.8430 0.7500 0.4531 V
0.2283 0.5607 0.1264 S
0.2283 0.9393 0.1264 S
0.2457 0.7500 0.8693 S
0.2543 0.2500 0.3693 S
0.2717 0.0607 0.6264 S
0.2717 0.4393 0.6264 S
0.7283 0.5607 0.3736 S
0.7283 0.9393 0.3736 S
0.7457 0.7500 0.6307 S
0.7543 0.2500 0.1307 S
0.7717 0.0607 0.8736 S
0.7717 0.4393 0.8736 S
0.1266 0.7500 0.4485 O
0.3734 0.2500 0.9485 O
0.6266 0.7500 0.0515 O
0.8734 0.2500 0.5515 O
```

---

Na3VS3O: theoretical XRD peak list (Cu Kα), based on a crystal structure in the Materials Project, relaxed with PBE+U.
Intensities are scaled so that the largest is 1000.

Top 10 peaks for 2θ = 10–90°, low angle first:
2θ/deg	intensity
14.7	330
18.9	1000
28.4	586
29.7	544
29.9	890
36.8	296
41.7	407
42.7	483
47.0	438
47.1	295

Crystal structure
```
Na3VS3O
1.0
4.8816 -6.0141 0.0000
4.8816 6.0141 0.0000
0.0000 0.0000 5.9731
Na V S O
6 2 6 2
direct
0.1189 0.8811 0.5000 Na
0.1740 0.4141 0.4800 Na
0.4141 0.1740 0.9800 Na
0.5859 0.8260 0.4800 Na
0.8260 0.5859 0.9800 Na
0.8811 0.1189 0.0000 Na
0.2963 0.7037 0.0781 V
0.7037 0.2963 0.5781 V
0.1188 0.8812 0.9802 S
0.1875 0.4351 0.9630 S
0.4351 0.1875 0.4630 S
0.5649 0.8125 0.9630 S
0.8125 0.5649 0.4630 S
0.8812 0.1188 0.4802 S
0.3010 0.6990 0.3621 O
0.6990 0.3010 0.8621 O
```

---

Na3VSO3: theoretical XRD peak list (Cu Kα), based on a crystal structure in the Materials Project, relaxed with PBE+U.
Intensities are scaled so that the largest is 1000.

Top 10 peaks for 2θ = 10–90°, low angle first:
2θ/deg	intensity
18.6	691
20.5	604
27.8	259
29.9	315
31.3	553
32.4	315
35.9	1000
47.4	393
48.9	525
62.1	238

Crystal structure
```
Na3VSO3
1.0
4.3324 2.5013 4.1255
-4.3324 2.5013 4.1255
0.0000 -5.0026 4.1255
Na V S O
6 2 2 6
direct
0.0279 0.3315 0.6406 Na
0.1406 0.8315 0.5279 Na
0.3315 0.6406 0.0279 Na
0.5279 0.1406 0.8315 Na
0.6406 0.0279 0.3315 Na
0.8315 0.5279 0.1406 Na
0.1157 0.1157 0.1157 V
0.6157 0.6157 0.6157 V
0.4340 0.4340 0.4340 S
0.9340 0.9340 0.9340 S
0.1557 0.3503 0.9714 O
0.3503 0.9714 0.1557 O
0.4714 0.8503 0.6557 O
0.6557 0.4714 0.8503 O
0.8503 0.6557 0.4714 O
0.9714 0.1557 0.3503 O
```

---

Na3Sc2W3O12: theoretical XRD peak list (Cu Kα), based on a crystal structure in the Materials Project, relaxed with PBE+U.
Intensities are scaled so that the largest is 1000.

Top 10 peaks for 2θ = 10–90°, low angle first:
2θ/deg	intensity
15.4	285
18.6	711
20.7	541
23.0	1000
25.3	614
28.8	344
30.2	965
31.1	422
31.4	380
43.4	371

Crystal structure
```
Na3Sc2W3O12
1.0
6.1789 -6.9008 0.0000
6.1789 6.9008 0.0000
-2.6747 0.0000 6.7844
Na Sc W O
6 4 6 24
direct
0.0000 0.0000 0.0000 Na
0.0000 0.0000 0.5000 Na
0.2281 0.7719 0.7500 Na
0.4896 0.5104 0.2500 Na
0.5104 0.4896 0.7500 Na
0.7719 0.2281 0.2500 Na
0.1345 0.4465 0.8776 Sc
0.4465 0.1345 0.3776 Sc
0.5535 0.8655 0.6224 Sc
0.8655 0.5535 0.1224 Sc
0.1561 0.3830 0.3775 W
0.2197 0.7803 0.2500 W
0.3830 0.1561 0.8775 W
0.6170 0.8439 0.1225 W
0.7803 0.2197 0.7500 W
0.8439 0.6170 0.6225 W
0.0193 0.7596 0.2718 O
0.0335 0.1998 0.2809 O
0.0843 0.4680 0.1600 O
0.1600 0.5055 0.6290 O
0.1998 0.0335 0.7809 O
0.2404 0.9807 0.2282 O
0.2726 0.6650 0.0312 O
0.3325 0.3557 0.9244 O
0.3350 0.7274 0.4688 O
0.3557 0.3325 0.4244 O
0.4680 0.0843 0.6600 O
0.4945 0.8400 0.8710 O
0.5055 0.1600 0.1290 O
0.5320 0.9157 0.3400 O
0.6443 0.6675 0.5756 O
0.6650 0.2726 0.5312 O
0.6675 0.6443 0.0756 O
0.7274 0.3350 0.9688 O
0.7596 0.0193 0.7718 O
0.8002 0.9665 0.2191 O
0.8400 0.4945 0.3710 O
0.9157 0.5320 0.8400 O
0.9665 0.8002 0.7191 O
0.9807 0.2404 0.7282 O
```